This entry pairs a crystal structure of Tb3GaAg3S8 with its computed XRD peak list. Radiation: Cu Kα, 1.54184 Å. Structure: a cell relaxed with PBE.
Peak positions follow from Bragg's law for the DFT cell and can differ from measured ones.

Largest 10 diffraction maxima, low angle first, 2θ from 10° to 90°:
16.07 deg, d 5.516, I 16
27.68 deg, d 3.222, I 22
27.79 deg, d 3.210, I 44
29.11 deg, d 3.068, I 19
32.46 deg, d 2.758, I 100
32.75 deg, d 2.735, I 49
45.82 deg, d 1.980, I 54
47.36 deg, d 1.920, I 16
47.70 deg, d 1.906, I 32
57.41 deg, d 1.605, I 18

Atomic structure:
a = 7.635 Å, b = 7.635 Å, c = 7.689 Å
α = 117.78°, β = 117.78°, γ = 62.57°
Fractional positions:
1 Tb 0.000 0.000 0.000
2 Tb 0.000 0.500 0.500
3 Tb 0.500 0.000 0.500
4 Ga 0.500 0.500 0.000
5 Ag 0.000 0.500 0.000
6 Ag 0.500 0.000 0.000
7 Ag 0.500 0.500 0.500
8 S 0.247 0.247 0.257
9 S 0.270 0.725 0.227
10 S 0.271 0.271 0.773
11 S 0.275 0.730 0.773
12 S 0.725 0.270 0.227
13 S 0.729 0.729 0.227
14 S 0.730 0.275 0.773
15 S 0.753 0.753 0.743